Computed powder X-ray diffraction pattern of Sm3MgTi4O14 for Cu Kα, 1.54184 Å, from a cell relaxed with PBE.

Top 10 peaks for 2θ from 15° to 90°, low angle first:
(0 0 3), 2θ = 15.28°, d 5.799, I 33; (0 2 1), 2θ = 28.71°, d 3.109, I 21; (2 0 2), 2θ = 30.09°, d 2.970, I 100; (0 0 6), 2θ = 30.84°, d 2.899, I 31; (0 2 4), 2θ = 35.10°, d 2.557, I 34; (2 0 5), 2θ = 38.48°, d 2.339, I 20; (2 2 0), 2θ = 49.99°, d 1.825, I 33; (2 0 8), 2θ = 50.98°, d 1.791, I 31; (0 4 2), 2θ = 59.45°, d 1.555, I 14; (2 2 6), 2θ = 59.90°, d 1.544, I 26

Atomic structure:
a b c (Å): 7.2984 7.2984 17.3969
angles (deg): 90.00 90.00 120.00
Space group R-3m (No. 166, hexagonal axes)
Symmetry-distinct sites (fractional):
1 Sm 0.0000 0.5000 0.0000 (multiplicity 9)
2 Mg 0.0000 0.0000 0.5000 (multiplicity 3)
3 Ti 0.0000 0.0000 0.0000 (multiplicity 3)
4 Ti 0.0000 0.5000 0.5000 (multiplicity 9)
5 O 0.0000 0.0000 0.3855 (multiplicity 6)
6 O 0.0615 0.5307 0.6105 (multiplicity 18)
7 O 0.0722 0.5361 0.8581 (multiplicity 18)